For RbReTe4Au3, a DFT-relaxed cell (PBE, OQMD) gives the computed powder diffractogram in this record (copper Kα).
No peak broadening, texture or thermal motion is included.

Atomic structure:
```
data_RbReTe4Au3
_chemical_formula_sum 'Rb1 Re1 Te4 Au3'
_symmetry_space_group_name_H-M 'P 1'
_symmetry_Int_Tables_number 1
_cell_length_a 6.834
_cell_length_b 6.834
_cell_length_c 6.834
_cell_angle_alpha 90.00
_cell_angle_beta 90.00
_cell_angle_gamma 90.00
loop_
_symmetry_equiv_pos_as_xyz
'x,y,z'
loop_
_atom_site_label
_atom_site_type_symbol
_atom_site_fract_x
_atom_site_fract_y
_atom_site_fract_z
Rb1 Rb 0.000 0.000 0.000
Re1 Re 0.500 0.500 0.500
Te1 Te 0.285 0.285 0.285
Te2 Te 0.285 0.715 0.715
Te3 Te 0.715 0.285 0.715
Te4 Te 0.715 0.715 0.285
Au1 Au 0.000 0.500 0.500
Au2 Au 0.500 0.000 0.500
Au3 Au 0.500 0.500 0.000
```

Main lines, in order of falling intensity (10 to 90 degrees two-theta):
2θ 37.2, rel. 100; 2θ 22.5, rel. 68; 2θ 13.0, rel. 62; 2θ 43.9, rel. 31; 2θ 67.1, rel. 28; 2θ 48.0, rel. 20; 2θ 39.6, rel. 16; 2θ 53.6, rel. 15; 2θ 26.1, rel. 13; 2θ 60.6, rel. 10


For ScZnFeNi, a DFT-relaxed cell (PBE, OQMD) gives the computed powder diffractogram in this record (copper Kα).
No peak broadening, texture or thermal motion is included.

Atomic structure:
```
data_ScZnFeNi
_chemical_formula_sum 'Sc4 Zn4 Fe4 Ni4'
_symmetry_space_group_name_H-M 'P 1'
_symmetry_Int_Tables_number 1
_cell_length_a 6.094
_cell_length_b 6.094
_cell_length_c 6.094
_cell_angle_alpha 90.00
_cell_angle_beta 90.00
_cell_angle_gamma 90.00
loop_
_symmetry_equiv_pos_as_xyz
'x,y,z'
loop_
_atom_site_label
_atom_site_type_symbol
_atom_site_fract_x
_atom_site_fract_y
_atom_site_fract_z
Sc1 Sc 0.000 0.000 0.000
Sc2 Sc 0.000 0.500 0.500
Sc3 Sc 0.500 0.000 0.500
Sc4 Sc 0.500 0.500 0.000
Zn1 Zn 0.250 0.250 0.250
Zn2 Zn 0.250 0.750 0.750
Zn3 Zn 0.750 0.250 0.750
Zn4 Zn 0.750 0.750 0.250
Fe1 Fe 0.250 0.250 0.750
Fe2 Fe 0.250 0.750 0.250
Fe3 Fe 0.750 0.250 0.250
Fe4 Fe 0.750 0.750 0.750
Ni1 Ni 0.000 0.000 0.500
Ni2 Ni 0.000 0.500 0.000
Ni3 Ni 0.500 0.000 0.000
Ni4 Ni 0.500 0.500 0.500
```

Main lines, in order of falling intensity (10 to 90 degrees two-theta):
2θ 41.9, rel. 100; 2θ 76.6, rel. 29; 2θ 60.8, rel. 15; 2θ 25.3, rel. 2; 2θ 49.6, rel. 1; 2θ 29.3, rel. 1; 2θ 66.9, rel. 1


For Pm3PaP4, a DFT-relaxed cell (PBE, OQMD) gives the computed powder diffractogram in this record (copper Kα).
No peak broadening, texture or thermal motion is included.

Atomic structure:
```
data_Pm3PaP4
_chemical_formula_sum 'Pm6 Pa2 P8'
_symmetry_space_group_name_H-M 'P 1'
_symmetry_Int_Tables_number 1
_cell_length_a 8.163
_cell_length_b 11.531
_cell_length_c 4.083
_cell_angle_alpha 90.00
_cell_angle_beta 90.00
_cell_angle_gamma 90.00
loop_
_symmetry_equiv_pos_as_xyz
'x,y,z'
loop_
_atom_site_label
_atom_site_type_symbol
_atom_site_fract_x
_atom_site_fract_y
_atom_site_fract_z
Pm1 Pm 0.000 0.000 0.000
Pm2 Pm 0.250 0.250 0.500
Pm3 Pm 0.250 0.750 0.500
Pm4 Pm 0.500 0.500 0.000
Pm5 Pm 0.750 0.250 0.500
Pm6 Pm 0.750 0.750 0.500
Pa1 Pa 0.000 0.500 0.000
Pa2 Pa 0.500 0.000 0.000
P1 P 0.000 0.257 0.000
P2 P 0.000 0.743 0.000
P3 P 0.239 0.500 0.500
P4 P 0.261 0.000 0.500
P5 P 0.500 0.243 0.000
P6 P 0.500 0.757 0.000
P7 P 0.739 0.000 0.500
P8 P 0.761 0.500 0.500
```

Main lines, in order of falling intensity (10 to 90 degrees two-theta):
2θ 31.0, rel. 100; 2θ 26.8, rel. 90; 2θ 44.4, rel. 74; 2θ 52.6, rel. 45; 2θ 55.1, rel. 26; 2θ 81.8, rel. 25; 2θ 73.3, rel. 22; 2θ 71.2, rel. 18; 2θ 64.6, rel. 12; 2θ 73.4, rel. 11


For RbTh3F13, a DFT-relaxed cell (PBE, OQMD) gives the computed powder diffractogram in this record (copper Kα).
No peak broadening, texture or thermal motion is included.

Atomic structure:
```
data_RbTh3F13
_chemical_formula_sum 'Rb2 Th6 F26'
_symmetry_space_group_name_H-M 'P 1'
_symmetry_Int_Tables_number 1
_cell_length_a 8.038
_cell_length_b 7.313
_cell_length_c 8.539
_cell_angle_alpha 90.00
_cell_angle_beta 90.00
_cell_angle_gamma 90.00
loop_
_symmetry_equiv_pos_as_xyz
'x,y,z'
loop_
_atom_site_label
_atom_site_type_symbol
_atom_site_fract_x
_atom_site_fract_y
_atom_site_fract_z
Rb1 Rb 0.000 0.105 0.000
Rb2 Rb 0.000 0.895 0.500
Th1 Th 0.245 0.397 0.359
Th2 Th 0.245 0.603 0.859
Th3 Th 0.500 0.109 0.695
Th4 Th 0.500 0.891 0.195
Th5 Th 0.755 0.397 0.359
Th6 Th 0.755 0.603 0.859
F1 F 0.000 0.222 0.326
F2 F 0.000 0.429 0.839
F3 F 0.000 0.571 0.339
F4 F 0.000 0.778 0.826
F5 F 0.189 0.449 0.096
F6 F 0.189 0.551 0.596
F7 F 0.238 0.176 0.554
F8 F 0.238 0.824 0.054
F9 F 0.298 0.112 0.235
F10 F 0.298 0.888 0.735
F11 F 0.324 0.300 0.837
F12 F 0.324 0.700 0.337
F13 F 0.500 0.030 0.958
F14 F 0.500 0.367 0.516
F15 F 0.500 0.398 0.229
F16 F 0.500 0.602 0.729
F17 F 0.500 0.633 0.016
F18 F 0.500 0.970 0.458
F19 F 0.676 0.300 0.837
F20 F 0.676 0.700 0.337
F21 F 0.702 0.112 0.235
F22 F 0.702 0.888 0.735
F23 F 0.762 0.176 0.554
F24 F 0.762 0.824 0.054
F25 F 0.811 0.449 0.096
F26 F 0.811 0.551 0.596
```

Main lines, in order of falling intensity (10 to 90 degrees two-theta):
2θ 26.5, rel. 100; 2θ 25.3, rel. 90; 2θ 46.3, rel. 76; 2θ 24.1, rel. 64; 2θ 27.4, rel. 61; 2θ 44.8, rel. 51; 2θ 30.5, rel. 45; 2θ 19.4, rel. 33; 2θ 16.0, rel. 33; 2θ 23.6, rel. 29


For Dy3Er2Hg3, a DFT-relaxed cell (PBE, OQMD) gives the computed powder diffractogram in this record (copper Kα).
No peak broadening, texture or thermal motion is included.

Atomic structure:
```
data_Dy3Er2Hg3
_chemical_formula_sum 'Dy3 Er2 Hg3'
_symmetry_space_group_name_H-M 'P 1'
_symmetry_Int_Tables_number 1
_cell_length_a 6.516
_cell_length_b 5.297
_cell_length_c 6.570
_cell_angle_alpha 90.00
_cell_angle_beta 111.43
_cell_angle_gamma 90.00
loop_
_symmetry_equiv_pos_as_xyz
'x,y,z'
loop_
_atom_site_label
_atom_site_type_symbol
_atom_site_fract_x
_atom_site_fract_y
_atom_site_fract_z
Dy1 Dy 0.000 0.000 0.000
Dy2 Dy 0.213 0.500 0.289
Dy3 Dy 0.746 0.500 0.347
Er1 Er 0.272 0.500 0.807
Er2 Er 0.521 0.000 0.573
Hg1 Hg 0.028 0.000 0.501
Hg2 Hg 0.500 0.000 0.081
Hg3 Hg 0.756 0.500 0.837
```

Main lines, in order of falling intensity (10 to 90 degrees two-theta):
2θ 33.8, rel. 100; 2θ 34.1, rel. 71; 2θ 33.1, rel. 30; 2θ 48.1, rel. 22; 2θ 60.6, rel. 15; 2θ 60.7, rel. 14; 2θ 71.2, rel. 11; 2θ 61.3, rel. 11; 2θ 49.5, rel. 10; 2θ 59.9, rel. 9


For LiGdMg2, a DFT-relaxed cell (PBE, OQMD) gives the computed powder diffractogram in this record (copper Kα).
No peak broadening, texture or thermal motion is included.

Atomic structure:
```
data_LiGdMg2
_chemical_formula_sum 'Li1 Gd1 Mg2'
_symmetry_space_group_name_H-M 'P 1'
_symmetry_Int_Tables_number 1
_cell_length_a 3.485
_cell_length_b 5.412
_cell_length_c 5.412
_cell_angle_alpha 90.00
_cell_angle_beta 90.00
_cell_angle_gamma 90.00
loop_
_symmetry_equiv_pos_as_xyz
'x,y,z'
loop_
_atom_site_label
_atom_site_type_symbol
_atom_site_fract_x
_atom_site_fract_y
_atom_site_fract_z
Li1 Li 0.000 0.000 0.000
Gd1 Gd 0.000 0.500 0.495
Mg1 Mg 0.500 0.000 0.501
Mg2 Mg 0.500 0.500 0.995
```

Main lines, in order of falling intensity (10 to 90 degrees two-theta):
2θ 16.4, rel. 100; 2θ 34.8, rel. 63; 2θ 30.5, rel. 45; 2θ 33.1, rel. 36; 2θ 45.6, rel. 30; 2θ 37.1, rel. 27; 2θ 60.2, rel. 26; 2θ 23.2, rel. 23; 2θ 47.5, rel. 13; 2θ 63.5, rel. 11